This entry pairs a crystal structure of K2Cu with its simulated powder X-ray diffraction pattern. Radiation: Cu Kα, 1.54184 Å. Structure: a GGA-PBE-relaxed structure.

Main lines, most intense first (5° ≤ 2θ ≤ 70°):
| index | 2θ (°) | d_spacing | intensity |
| --- | --- | --- | --- |
| 0 4 2 | 31.22 | 2.865 | 100.0 |
| 0 2 1 | 15.47 | 5.726 | 67.6 |
| 1 3 1 | 29.59 | 3.019 | 60.5 |
| 1 3 0 | 27.50 | 3.243 | 44.4 |
| 0 4 1 | 24.87 | 3.580 | 33.1 |
| 0 2 2 | 24.27 | 3.668 | 25.2 |
| 1 1 3 | 39.79 | 2.265 | 22.4 |
| 1 7 3 | 57.17 | 1.611 | 21.9 |
| 0 6 1 | 35.64 | 2.519 | 19.4 |
| 0 2 3 | 34.43 | 2.605 | 19.1 |

Structural model:
```
data_K2Cu
_space_group_name_H-M_alt 'C m c 21'
_space_group_IT_number 36
_space_group_name_Hall 'C 2c -2'
_cell_length_a 4.105
_cell_length_b 15.868
_cell_length_c 8.272
_cell_angle_alpha 90.00
_cell_angle_beta 90.00
_cell_angle_gamma 90.00
loop_
_atom_site_label
_atom_site_type_symbol
_atom_site_fract_x
_atom_site_fract_y
_atom_site_fract_z
K1 K 0.000 0.017 0.000
K2 K 0.000 0.272 0.147
Cu1 Cu 0.000 0.385 0.784
```



This entry pairs a crystal structure of Ti3Co with its simulated powder X-ray diffraction pattern. Radiation: Cu Kα, 1.54184 Å. Structure: a GGA-PBE-relaxed structure.

Main lines, most intense first (5° ≤ 2θ ≤ 70°):
| index | 2θ (°) | d_spacing | intensity |
| --- | --- | --- | --- |
| 3 2 1 | 37.68 | 2.387 | 100.0 |
| 4 1 1 | 42.21 | 2.141 | 97.7 |
| 2 2 2 | 43.62 | 2.075 | 92.8 |
| 1 1 2 | 36.87 | 2.438 | 88.2 |
| 3 3 0 | 39.49 | 2.282 | 74.5 |
| 4 2 0 | 41.73 | 2.165 | 44.4 |
| 5 1 0 | 47.91 | 1.899 | 34.6 |
| 5 2 1 | 53.95 | 1.700 | 25.2 |
| 2 0 2 | 39.23 | 2.297 | 23.1 |
| 6 0 2 | 68.36 | 1.372 | 22.4 |

Structural model:
```
data_Ti3Co
_space_group_name_H-M_alt 'I -4 2 m'
_space_group_IT_number 121
_space_group_name_Hall 'I -4 2'
_cell_length_a 9.681
_cell_length_b 9.681
_cell_length_c 5.218
_cell_angle_alpha 90.00
_cell_angle_beta 90.00
_cell_angle_gamma 90.00
loop_
_atom_site_label
_atom_site_type_symbol
_atom_site_fract_x
_atom_site_fract_y
_atom_site_fract_z
Ti1 Ti 0.000 0.354 0.000
Ti2 Ti 0.096 0.096 0.762
Ti3 Ti 0.206 0.206 0.256
Co1 Co 0.000 0.292 0.500
```



Repeat the second record exactly.
This entry pairs a crystal structure of Ti3Co with its simulated powder X-ray diffraction pattern. Radiation: Cu Kα, 1.54184 Å. Structure: a GGA-PBE-relaxed structure.

Main lines, most intense first (5° ≤ 2θ ≤ 70°):
| index | 2θ (°) | d_spacing | intensity |
| --- | --- | --- | --- |
| 3 2 1 | 37.68 | 2.387 | 100.0 |
| 4 1 1 | 42.21 | 2.141 | 97.7 |
| 2 2 2 | 43.62 | 2.075 | 92.8 |
| 1 1 2 | 36.87 | 2.438 | 88.2 |
| 3 3 0 | 39.49 | 2.282 | 74.5 |
| 4 2 0 | 41.73 | 2.165 | 44.4 |
| 5 1 0 | 47.91 | 1.899 | 34.6 |
| 5 2 1 | 53.95 | 1.700 | 25.2 |
| 2 0 2 | 39.23 | 2.297 | 23.1 |
| 6 0 2 | 68.36 | 1.372 | 22.4 |

Structural model:
```
data_Ti3Co
_space_group_name_H-M_alt 'I -4 2 m'
_space_group_IT_number 121
_space_group_name_Hall 'I -4 2'
_cell_length_a 9.681
_cell_length_b 9.681
_cell_length_c 5.218
_cell_angle_alpha 90.00
_cell_angle_beta 90.00
_cell_angle_gamma 90.00
loop_
_atom_site_label
_atom_site_type_symbol
_atom_site_fract_x
_atom_site_fract_y
_atom_site_fract_z
Ti1 Ti 0.000 0.354 0.000
Ti2 Ti 0.096 0.096 0.762
Ti3 Ti 0.206 0.206 0.256
Co1 Co 0.000 0.292 0.500
```